Simulated powder diffractogram of CoH4SN2O4 for a wavelength of 1.5418 Å, from a GGA+U-relaxed structure.
Peak positions follow from Bragg's law for the DFT cell and can differ from measured ones.

Peak list (12 most intense, 15 to 90 degrees two-theta, in order of falling intensity)
20.3 deg, d = 4.368 Å, I 1000
26.7 deg, d = 3.339 Å, I 425
30.6 deg, d = 2.924 Å, I 310
35.9 deg, d = 2.503 Å, I 254
17.7 deg, d = 5.002 Å, I 231
33.8 deg, d = 2.650 Å, I 209
55.0 deg, d = 1.670 Å, I 157
48.7 deg, d = 1.869 Å, I 132
35.0 deg, d = 2.566 Å, I 109
38.9 deg, d = 2.313 Å, I 99
53.2 deg, d = 1.722 Å, I 91
59.3 deg, d = 1.559 Å, I 87

Structure:
```
CoH4SN2O4
1.0
6.570 0.000 0.000
0.000 7.714 0.000
0.000 0.000 8.969
Co H S N O
4 16 4 8 16
Direct
0.000 0.000 0.000 Co
0.000 0.500 0.500 Co
0.500 0.000 0.500 Co
0.500 0.500 0.000 Co
0.127 0.126 0.498 H
0.127 0.374 0.998 H
0.197 0.119 0.674 H
0.197 0.381 0.174 H
0.303 0.119 0.174 H
0.303 0.381 0.674 H
0.373 0.126 0.998 H
0.373 0.374 0.498 H
0.627 0.626 0.502 H
0.627 0.874 0.002 H
0.697 0.619 0.326 H
0.697 0.881 0.826 H
0.803 0.619 0.826 H
0.803 0.881 0.326 H
0.873 0.626 0.002 H
0.873 0.874 0.502 H
0.250 0.750 0.242 S
0.250 0.750 0.742 S
0.750 0.250 0.258 S
0.750 0.250 0.758 S
0.244 0.155 0.569 N
0.244 0.345 0.069 N
0.256 0.155 0.069 N
0.256 0.345 0.569 N
0.744 0.655 0.431 N
0.744 0.845 0.931 N
0.756 0.655 0.931 N
0.756 0.845 0.431 N
0.069 0.708 0.648 O
0.069 0.792 0.148 O
0.203 0.596 0.336 O
0.203 0.904 0.836 O
0.297 0.596 0.836 O
0.297 0.904 0.336 O
0.431 0.708 0.148 O
0.431 0.792 0.648 O
0.569 0.208 0.352 O
0.569 0.292 0.852 O
0.703 0.096 0.664 O
0.703 0.404 0.164 O
0.797 0.096 0.164 O
0.797 0.404 0.664 O
0.931 0.208 0.852 O
0.931 0.292 0.352 O
```